For Cs3Cd5Au6, a PBE-relaxed structure gives the simulated X-ray diffraction stick pattern in this record (Cu Kα (λ = 1.5418 Å)).
No peak broadening, texture or thermal motion is included.

Structural model:
```
data_Cs3Cd5Au6
_chemical_formula_sum 'Cs6 Cd10 Au12'
_cell_length_a 4.9908
_cell_length_b 14.5143
_cell_length_c 11.8871
_cell_angle_alpha 90.00
_cell_angle_beta 90.00
_cell_angle_gamma 90.00
_space_group_name_H-M_alt 'P m m n'
_space_group_IT_number 59
loop_
_space_group_symop_operation_xyz
'x,y,z'
'-x,-y,-z'
'-x+1/2,-y+1/2,z'
'x+1/2,y+1/2,-z'
'x+1/2,-y,-z'
'-x+1/2,y,z'
'-x,y+1/2,-z'
'x,-y+1/2,z'
loop_
_atom_site_label
_atom_site_fract_x
_atom_site_fract_y
_atom_site_fract_z
_atom_site_occupancy
Cs1 0.2500 0.1013 0.2467 1
Cs2 0.2500 0.7500 0.2462 1
Cd1 0.2500 0.0796 0.6430 1
Cd2 0.2500 0.6015 0.0013 1
Cd3 0.2500 0.7500 0.5711 1
Au1 0.2500 0.0740 0.8795 1
Au2 0.2500 0.2500 0.5259 1
Au3 0.2500 0.2500 0.9850 1
Au4 0.2500 0.5637 0.4820 1
```

Top 10 peaks for 2θ from 15° to 90°, low angle first:
2θ/deg  I/Imax  hkl
28.78  31  1 0 3
29.13  24  0 3 3
29.79  100  1 3 2
35.99  42  2 0 0
37.17  31  0 6 0
39.92  38  1 3 4
47.64  17  1 6 3
52.70  22  2 6 0
53.23  17  1 3 6
60.92  13  3 3 2



For Cs4CdAu, a PBE-relaxed structure gives the simulated X-ray diffraction stick pattern in this record (Cu Kα (λ = 1.5418 Å)).
No peak broadening, texture or thermal motion is included.

Structural model:
```
data_Cs4CdAu
_chemical_formula_sum 'Cs16 Cd4 Au4'
_cell_length_a 12.0348
_cell_length_b 17.4539
_cell_length_c 8.6543
_cell_angle_alpha 90.00
_cell_angle_beta 123.02
_cell_angle_gamma 90.00
_space_group_name_H-M_alt 'C 1 2/c 1'
_space_group_IT_number 15
loop_
_space_group_symop_operation_xyz
'x,y,z'
'-x,-y,-z'
'-x,y,-z+1/2'
'x,-y,z+1/2'
'x+1/2,y+1/2,z'
'-x+1/2,-y+1/2,-z'
'-x+1/2,y+1/2,-z+1/2'
'x+1/2,-y+1/2,z+1/2'
loop_
_atom_site_label
_atom_site_fract_x
_atom_site_fract_y
_atom_site_fract_z
_atom_site_occupancy
Cs1 0.1139 0.1704 0.0864 1
Cs2 0.2123 0.4390 0.2837 1
Cd1 0.0000 0.3622 0.7500 1
Au1 0.0000 0.0001 0.2500 1
```

Top 10 peaks for 2θ from 15° to 90°, low angle first:
2θ/deg  I/Imax  hkl
22.85  96  3 1 -1
23.79  96  0 4 1
24.54  48  0 0 2
25.35  59  2 4 -1
26.06  100  1 3 -2
26.61  73  0 2 2
27.03  100  1 5 0
28.39  87  2 2 1
28.87  93  3 3 -2
30.71  92  3 3 0



For CsCdGaAu, a PBE-relaxed structure gives the simulated X-ray diffraction stick pattern in this record (Cu Kα (λ = 1.5418 Å)).
No peak broadening, texture or thermal motion is included.

Structural model:
```
data_CsCdGaAu
_chemical_formula_sum 'Cs3 Cd3 Ga3 Au3'
_cell_length_a 4.6971
_cell_length_b 4.6971
_cell_length_c 20.6820
_cell_angle_alpha 90.00
_cell_angle_beta 90.00
_cell_angle_gamma 120.00
_space_group_name_H-M_alt 'R 3 m'
_space_group_IT_number 160
_space_group_name_Hall 'R 3 -2"'
loop_
_atom_site_label
_atom_site_fract_x
_atom_site_fract_y
_atom_site_fract_z
_atom_site_occupancy
Cs1 0.0000 0.0000 0.0000 1
Cd1 0.0000 0.0000 0.1883 1
Ga1 0.0000 0.0000 0.4720 1
Au1 0.0000 0.0000 0.8099 1
```

Top 10 peaks for 2θ from 15° to 90°, low angle first:
2θ/deg  I/Imax  hkl
22.27  51  1 0 1
25.85  54  0 0 6
27.91  36  1 0 4
30.83  100  0 1 5
38.33  99  1 1 0
40.58  35  1 1 3
46.81  65  1 1 6
49.97  26  2 0 5
53.71  25  0 1 11
80.78  28  1 2 11



For CsCdHgAu, a PBE-relaxed structure gives the simulated X-ray diffraction stick pattern in this record (Cu Kα (λ = 1.5418 Å)).
No peak broadening, texture or thermal motion is included.

Structural model:
```
data_CsCdHgAu
_chemical_formula_sum 'Cs2 Cd2 Hg2 Au2'
_cell_length_a 8.5702
_cell_length_b 5.0397
_cell_length_c 7.1132
_cell_angle_alpha 90.00
_cell_angle_beta 113.93
_cell_angle_gamma 90.00
_space_group_name_H-M_alt 'C 1 m 1'
_space_group_IT_number 8
loop_
_space_group_symop_operation_xyz
'x,y,z'
'x,-y,z'
'x+1/2,y+1/2,z'
'x+1/2,-y+1/2,z'
loop_
_atom_site_label
_atom_site_fract_x
_atom_site_fract_y
_atom_site_fract_z
_atom_site_occupancy
Cs1 0.0000 0.0000 0.0000 1
Cd1 0.4762 0.0000 0.4245 1
Hg1 0.2004 0.0000 0.5977 1
Au1 0.3083 0.5000 0.4155 1
```

Top 10 peaks for 2θ from 15° to 90°, low angle first:
2θ/deg  I/Imax  hkl
20.96  21  1 1 0
27.49  85  0 0 2
27.65  26  2 0 -2
30.77  77  1 1 -2
31.07  38  2 0 1
35.63  52  0 2 0
36.14  100  3 1 -1
38.31  20  0 2 1
47.98  23  2 2 1
51.39  36  2 0 -4



For Cs2CdAu2I6, a PBE-relaxed structure gives the simulated X-ray diffraction stick pattern in this record (Cu Kα (λ = 1.5418 Å)).
No peak broadening, texture or thermal motion is included.

Structural model:
```
data_Cs2CdAu2I6
_chemical_formula_sum 'Cs4 Cd2 Au4 I12'
_cell_length_a 15.5123
_cell_length_b 8.4480
_cell_length_c 8.7468
_cell_angle_alpha 90.00
_cell_angle_beta 120.95
_cell_angle_gamma 90.00
_space_group_name_H-M_alt 'C 1 2/m 1'
_space_group_IT_number 12
loop_
_space_group_symop_operation_xyz
'x,y,z'
'-x,-y,-z'
'-x,y,-z'
'x,-y,z'
'x+1/2,y+1/2,z'
'-x+1/2,-y+1/2,-z'
'-x+1/2,y+1/2,-z'
'x+1/2,-y+1/2,z'
loop_
_atom_site_label
_atom_site_fract_x
_atom_site_fract_y
_atom_site_fract_z
_atom_site_occupancy
Cs1 0.2332 0.0000 0.2257 1
Cd1 0.0000 0.0000 0.5000 1
Au1 0.0740 0.5000 0.2606 1
I1 0.0418 0.2392 0.7798 1
I2 0.2415 0.0000 0.6944 1
```

Top 10 peaks for 2θ from 15° to 90°, low angle first:
2θ/deg  I/Imax  hkl
20.19  57  3 1 -1
23.56  62  1 1 -2
23.72  100  0 0 2
25.00  74  4 0 -2
29.42  53  2 2 -2
30.58  43  2 2 1
38.45  39  1 3 -2
40.91  31  4 2 1
41.05  42  6 2 -2
42.81  36  0 4 0



For CsCd2InAu, a PBE-relaxed structure gives the simulated X-ray diffraction stick pattern in this record (Cu Kα (λ = 1.5418 Å)).
No peak broadening, texture or thermal motion is included.

Structural model:
```
data_CsCd2InAu
_chemical_formula_sum 'Cs2 Cd4 In2 Au2'
_cell_length_a 4.9068
_cell_length_b 5.1493
_cell_length_c 12.3085
_cell_angle_alpha 90.00
_cell_angle_beta 90.00
_cell_angle_gamma 90.00
_space_group_name_H-M_alt 'I m m 2'
_space_group_IT_number 44
loop_
_space_group_symop_operation_xyz
'x,y,z'
'-x,-y,z'
'-x,y,z'
'x,-y,z'
'x+1/2,y+1/2,z+1/2'
'-x+1/2,-y+1/2,z+1/2'
'-x+1/2,y+1/2,z+1/2'
'x+1/2,-y+1/2,z+1/2'
loop_
_atom_site_label
_atom_site_fract_x
_atom_site_fract_y
_atom_site_fract_z
_atom_site_occupancy
Cs1 0.0000 0.0000 0.0000 1
Cd1 0.0000 0.0000 0.6109 1
Cd2 0.0000 0.5000 0.2588 1
In1 0.0000 0.5000 0.7567 1
Au1 0.0000 0.0000 0.3765 1
```

Top 10 peaks for 2θ from 15° to 90°, low angle first:
2θ/deg  I/Imax  hkl
27.80  37  0 1 3
28.36  37  1 0 3
29.02  100  1 1 2
34.85  45  0 2 0
36.63  40  2 0 0
38.71  49  1 1 4
40.62  21  0 1 5
45.52  21  1 2 3
51.45  43  2 2 0
83.04  25  2 2 8



For Cs2K4CdAu2, a PBE-relaxed structure gives the simulated X-ray diffraction stick pattern in this record (Cu Kα (λ = 1.5418 Å)).
No peak broadening, texture or thermal motion is included.

Structural model:
```
data_Cs2K4CdAu2
_chemical_formula_sum 'Cs2 K4 Cd1 Au2'
_cell_length_a 6.4136
_cell_length_b 8.0188
_cell_length_c 10.7024
_cell_angle_alpha 100.72
_cell_angle_beta 102.82
_cell_angle_gamma 99.69
_space_group_name_H-M_alt 'P -1'
_space_group_IT_number 2
loop_
_space_group_symop_operation_xyz
'x,y,z'
'-x,-y,-z'
loop_
_atom_site_label
_atom_site_fract_x
_atom_site_fract_y
_atom_site_fract_z
_atom_site_occupancy
Cs1 0.0111 0.1996 0.3093 1
K1 0.3568 0.7559 0.3172 1
K2 0.4408 0.2488 0.0331 1
Cd1 0.0000 0.5000 0.0000 1
Au1 0.1051 0.8681 0.0413 1
```

Top 10 peaks for 2θ from 15° to 90°, low angle first:
2θ/deg  I/Imax  hkl
19.55  79  1 1 -1
24.91  50  1 -1 2
26.34  100  0 0 3
26.58  67  1 0 -3
28.86  50  -2 1 1
32.23  59  2 1 -1
34.04  61  2 0 -3
34.89  74  1 -3 0
35.03  51  0 3 0
39.60  61  1 2 2



For Cs2NaCd4Au3, a PBE-relaxed structure gives the simulated X-ray diffraction stick pattern in this record (Cu Kα (λ = 1.5418 Å)).
No peak broadening, texture or thermal motion is included.

Structural model:
```
data_Cs2NaCd4Au3
_chemical_formula_sum 'Cs2 Na1 Cd4 Au3'
_cell_length_a 5.0347
_cell_length_b 5.0347
_cell_length_c 12.0222
_cell_angle_alpha 90.00
_cell_angle_beta 90.00
_cell_angle_gamma 90.00
_space_group_name_H-M_alt 'P -4 m 2'
_space_group_IT_number 115
loop_
_space_group_symop_operation_xyz
'x,y,z'
'y,-x,-z'
'-x,-y,z'
'-y,x,-z'
'-x,y,z'
'-y,-x,-z'
'x,-y,z'
'y,x,-z'
loop_
_atom_site_label
_atom_site_fract_x
_atom_site_fract_y
_atom_site_fract_z
_atom_site_occupancy
Cs1 0.0000 0.5000 0.2428 1
Na1 0.0000 0.0000 0.5000 1
Cd1 0.0000 0.0000 0.0000 1
Cd2 0.0000 0.5000 0.6410 1
Cd3 0.5000 0.5000 0.0000 1
Au1 0.0000 0.5000 0.8792 1
Au2 0.5000 0.5000 0.5000 1
```

Top 10 peaks for 2θ from 15° to 90°, low angle first:
2θ/deg  I/Imax  hkl
19.11  33  1 0 1
25.01  25  1 1 0
28.47  92  1 0 3
29.15  100  1 1 2
35.67  97  2 0 0
39.23  54  1 1 4
41.62  38  1 0 5
46.25  49  2 1 3
51.33  34  2 2 0
55.95  32  2 1 5



For Cs2NaCdAu2, a PBE-relaxed structure gives the simulated X-ray diffraction stick pattern in this record (Cu Kα (λ = 1.5418 Å)).
No peak broadening, texture or thermal motion is included.

Structural model:
```
data_Cs2NaCdAu2
_chemical_formula_sum 'Cs8 Na4 Cd4 Au8'
_cell_length_a 7.2584
_cell_length_b 16.4775
_cell_length_c 7.3986
_cell_angle_alpha 90.00
_cell_angle_beta 90.00
_cell_angle_gamma 90.00
_space_group_name_H-M_alt 'I b a m'
_space_group_IT_number 72
_space_group_name_Hall '-I 2 2c'
loop_
_atom_site_label
_atom_site_fract_x
_atom_site_fract_y
_atom_site_fract_z
_atom_site_occupancy
Cs1 0.2462 0.1728 0.0000 1
Na1 0.0000 0.5000 0.2500 1
Cd1 0.0000 0.0000 0.2500 1
Au1 0.2401 0.0908 0.5000 1
```

Top 10 peaks for 2θ from 15° to 90°, low angle first:
2θ/deg  I/Imax  hkl
20.25  16  1 2 1
24.06  31  0 0 2
24.53  29  2 0 0
27.66  100  1 4 1
32.53  27  0 4 2
32.89  26  2 4 0
34.62  59  2 0 2
44.61  27  1 4 3
45.15  28  3 4 1
47.50  26  1 8 1



For Cs6CdAu2O, a PBE-relaxed structure gives the simulated X-ray diffraction stick pattern in this record (Cu Kα (λ = 1.5418 Å)).
No peak broadening, texture or thermal motion is included.

Structural model:
```
data_Cs6CdAu2O
_chemical_formula_sum 'Cs6 Cd1 Au2 O1'
_cell_length_a 8.8704
_cell_length_b 8.8712
_cell_length_c 9.4935
_cell_angle_alpha 62.16
_cell_angle_beta 62.19
_cell_angle_gamma 60.04
_space_group_name_H-M_alt 'P 1'
_space_group_IT_number 1
loop_
_space_group_symop_operation_xyz
'x,y,z'
loop_
_atom_site_label
_atom_site_fract_x
_atom_site_fract_y
_atom_site_fract_z
_atom_site_occupancy
Cs1 0.0000 0.0000 0.0000 1
Cs2 0.0701 0.7174 0.5749 1
Cs3 0.2169 0.3230 0.0000 1
Cs4 0.3944 0.1776 0.5748 1
Cs5 0.6771 0.5397 0.9996 1
Cs6 0.8548 0.3928 0.5746 1
Cd1 0.5511 0.8737 0.2404 1
Au1 0.2196 0.5426 0.2354 1
Au2 0.6722 0.9953 0.8769 1
O1 0.0357 0.3585 0.7871 1
```

Top 10 peaks for 2θ from 15° to 90°, low angle first:
2θ/deg  I/Imax  hkl
22.93  100  2 1 0
23.45  30  2 2 1
28.52  22  1 0 -2
29.79  18  2 2 3
30.09  65  2 1 3
31.70  40  1 3 2
34.31  22  1 3 0
35.04  40  3 3 2
43.11  18  3 4 3
54.77  19  4 0 -1



For Cs2CdAuO, a PBE-relaxed structure gives the simulated X-ray diffraction stick pattern in this record (Cu Kα (λ = 1.5418 Å)).
No peak broadening, texture or thermal motion is included.

Structural model:
```
data_Cs2CdAuO
_chemical_formula_sum 'Cs4 Cd2 Au2 O2'
_cell_length_a 7.5691
_cell_length_b 4.9948
_cell_length_c 9.2174
_cell_angle_alpha 90.00
_cell_angle_beta 105.90
_cell_angle_gamma 90.00
_space_group_name_H-M_alt 'P 1 21/m 1'
_space_group_IT_number 11
loop_
_space_group_symop_operation_xyz
'x,y,z'
'-x,-y,-z'
'-x,y+1/2,-z'
'x,-y+1/2,z'
loop_
_atom_site_label
_atom_site_fract_x
_atom_site_fract_y
_atom_site_fract_z
_atom_site_occupancy
Cs1 0.0979 0.2500 0.3550 1
Cs2 0.2182 0.2500 0.9734 1
Cd1 0.4455 0.7500 0.3093 1
Au1 0.3954 0.7500 0.6490 1
O1 0.1631 0.7500 0.1838 1
```

Top 10 peaks for 2θ from 15° to 90°, low angle first:
2θ/deg  I/Imax  hkl
25.22  34  1 1 1
26.89  57  0 1 2
27.13  100  2 0 -2
28.96  44  2 0 1
30.25  64  0 0 3
30.39  87  2 1 0
35.96  55  0 2 0
45.61  34  2 2 -2
47.68  36  0 2 3
48.24  46  2 1 3



For Cs2Rb3Cd2Au4, a PBE-relaxed structure gives the simulated X-ray diffraction stick pattern in this record (Cu Kα (λ = 1.5418 Å)).
No peak broadening, texture or thermal motion is included.

Structural model:
```
data_Cs2Rb3Cd2Au4
_chemical_formula_sum 'Cs4 Rb6 Cd4 Au8'
_cell_length_a 5.6565
_cell_length_b 5.6565
_cell_length_c 28.8107
_cell_angle_alpha 90.00
_cell_angle_beta 90.00
_cell_angle_gamma 90.00
_space_group_name_H-M_alt 'I 4/m m m'
_space_group_IT_number 139
_space_group_name_Hall '-I 4 2'
loop_
_atom_site_label
_atom_site_fract_x
_atom_site_fract_y
_atom_site_fract_z
_atom_site_occupancy
Cs1 0.0000 0.0000 0.1778 1
Rb1 0.0000 0.0000 0.3587 1
Rb2 0.0000 0.0000 0.5000 1
Cd1 0.0000 0.0000 0.0535 1
Au1 0.0000 0.5000 0.0798 1
```

Top 10 peaks for 2θ from 15° to 90°, low angle first:
2θ/deg  I/Imax  hkl
23.08  18  1 1 2
24.72  17  0 0 8
26.79  17  1 0 7
29.06  100  1 1 6
31.64  78  2 0 0
40.56  18  2 0 8
45.35  29  2 2 0
45.74  17  2 2 2
49.82  19  2 0 12
54.76  34  3 1 6



For Cs2Rb3Cd4Au2, a PBE-relaxed structure gives the simulated X-ray diffraction stick pattern in this record (Cu Kα (λ = 1.5418 Å)).
No peak broadening, texture or thermal motion is included.

Structural model:
```
data_Cs2Rb3Cd4Au2
_chemical_formula_sum 'Cs4 Rb6 Cd8 Au4'
_cell_length_a 4.8679
_cell_length_b 4.8679
_cell_length_c 44.3834
_cell_angle_alpha 90.00
_cell_angle_beta 90.00
_cell_angle_gamma 90.00
_space_group_name_H-M_alt 'I 4/m m m'
_space_group_IT_number 139
_space_group_name_Hall '-I 4 2'
loop_
_atom_site_label
_atom_site_fract_x
_atom_site_fract_y
_atom_site_fract_z
_atom_site_occupancy
Cs1 0.0000 0.0000 0.2025 1
Rb1 0.0000 0.0000 0.3691 1
Rb2 0.0000 0.0000 0.5000 1
Cd1 0.0000 0.5000 0.0676 1
Au1 0.0000 0.0000 0.1032 1
```

Top 10 peaks for 2θ from 15° to 90°, low angle first:
2θ/deg  I/Imax  hkl
19.19  44  1 0 3
23.03  92  1 0 7
30.56  76  1 1 8
32.93  100  1 1 10
36.93  90  2 0 0
43.98  32  2 1 7
48.83  30  1 1 20
53.22  31  2 2 0
64.02  29  3 1 10
75.13  35  2 0 30